[1]
# LiMn7O9F3
Computed powder diffractogram, Cu Ka. Input: the PBE+U geometry in Alexandria.

Top 10 peaks for 2θ from 10° to 90°, low angle first:
2θ/deg  intensity
14.59  28
25.19  45
26.09  40
32.64  100
33.36  66
36.09  34
46.96  41
47.76  46
55.93  31
58.02  28

Structural model:
Cell lengths 6.0737, 6.0737, 6.0737 Å; angles 91.47, 91.47, 91.47 degrees
Fractional positions:
Li: 0.0000 0.0000 0.0000
Mn: 0.1094 0.5899 0.2876
Mn: 0.2876 0.1094 0.5899
Mn: 0.4528 0.7745 0.9812
Mn: 0.5473 0.5473 0.5473
Mn: 0.5899 0.2876 0.1094
Mn: 0.7745 0.9812 0.4528
Mn: 0.9812 0.4528 0.7745
O: 0.1287 0.6861 0.9568
O: 0.2326 0.4427 0.5721
O: 0.4427 0.5721 0.2326
O: 0.4808 0.8409 0.6561
O: 0.5721 0.2326 0.4427
O: 0.6561 0.4808 0.8409
O: 0.6861 0.9568 0.1287
O: 0.8409 0.6561 0.4808
O: 0.9568 0.1287 0.6861
F: 0.1322 0.9468 0.3160
F: 0.3160 0.1322 0.9468
F: 0.9468 0.3160 0.1322

---

[2]
# Li3Mn2OF5
Computed powder diffractogram, Cu Ka. Input: the PBE+U geometry in Alexandria.

Top 10 peaks for 2θ from 10° to 90°, low angle first:
2θ/deg  intensity
18.41  26
20.90  14
23.00  100
37.91  33
41.58  90
42.54  40
47.87  12
59.97  13
60.54  12
60.99  45

Structural model:
Cell lengths 10.1134, 9.6816, 5.2518 Å; angles 79.21, 70.12, 30.67 degrees
Fractional positions:
Li: 0.0000 0.0000 0.0000
Li: 0.2500 0.2500 0.2500
Li: 0.3187 0.3187 0.6813
Li: 0.5757 0.5757 0.9243
Li: 0.6813 0.6813 0.3187
Li: 0.9243 0.9243 0.5757
Mn: 0.0798 0.0798 0.4202
Mn: 0.4202 0.4202 0.0798
Mn: 0.5000 0.5000 0.5000
Mn: 0.7500 0.7500 0.7500
O: 0.2537 0.7463 0.2537
O: 0.7463 0.2537 0.7463
F: 0.1126 0.5463 0.4339
F: 0.1568 0.6761 0.8266
F: 0.3405 0.8266 0.6761
F: 0.4339 0.9072 0.1126
F: 0.5024 0.9976 0.5024
F: 0.5463 0.1126 0.9072
F: 0.6761 0.1568 0.3405
F: 0.8266 0.3405 0.1568
F: 0.9072 0.4339 0.5463
F: 0.9976 0.5024 0.9976

---

[3]
# LiMn6O4F8
Computed powder diffractogram, Cu Ka. Input: the PBE+U geometry in Alexandria.

Top 10 peaks for 2θ from 10° to 90°, low angle first:
2θ/deg  intensity
16.82  30
24.69  60
28.47  100
30.85  30
31.81  57
33.00  47
40.50  34
40.92  30
42.44  42
47.00  36

Structural model:
Cell lengths 5.1878, 5.3170, 8.2752 Å; angles 90.51, 93.05, 97.61 degrees
Fractional positions:
Li: 0.0000 0.0000 0.0000
Mn: 0.0636 0.0881 0.5536
Mn: 0.1162 0.5746 0.7950
Mn: 0.5299 0.0121 0.2794
Mn: 0.5472 0.2663 0.8859
Mn: 0.5606 0.5266 0.4911
Mn: 0.9424 0.4860 0.2012
O: 0.3758 0.3714 0.6764
O: 0.7012 0.7103 0.3128
O: 0.7024 0.1704 0.0853
O: 0.7606 0.2421 0.4191
F: 0.2077 0.8307 0.1707
F: 0.2376 0.3706 0.0050
F: 0.2605 0.2839 0.3381
F: 0.2858 0.9370 0.8505
F: 0.3368 0.8218 0.5006
F: 0.8064 0.6321 0.9517
F: 0.8622 0.2022 0.7696
F: 0.8656 0.7322 0.6299

---

[4]
# LiMnOF2
Computed powder diffractogram, Cu Ka. Input: the PBE+U geometry in Alexandria.

Top 10 peaks for 2θ from 10° to 90°, low angle first:
2θ/deg  intensity
22.34  49
24.15  100
32.86  40
33.39  25
38.10  14
39.11  14
43.26  15
49.46  16
54.55  13
57.24  14

Structural model:
Cell lengths 5.3978, 5.3978, 9.4828 Å; angles 112.10, 112.10, 60.92 degrees
Fractional positions:
Li: 0.0441 0.6486 0.8415
Li: 0.3514 0.9559 0.6585
Li: 0.6486 0.0441 0.3415
Li: 0.9559 0.3514 0.1585
Mn: 0.0000 0.5000 0.5000
Mn: 0.3230 0.6770 0.2500
Mn: 0.5000 0.0000 0.0000
Mn: 0.6770 0.3230 0.7500
O: 0.2863 0.3786 0.6784
O: 0.3786 0.2863 0.1784
O: 0.6214 0.7137 0.8216
O: 0.7137 0.6214 0.3216
F: 0.1016 0.2180 0.8430
F: 0.2066 0.7006 0.4740
F: 0.2180 0.1016 0.3430
F: 0.2994 0.7934 0.0260
F: 0.7006 0.2066 0.9740
F: 0.7820 0.8984 0.6570
F: 0.7934 0.2994 0.5260
F: 0.8984 0.7820 0.1570

---

[5]
# Li4Mn3O3F9
Computed powder diffractogram, Cu Ka. Input: the PBE+U geometry in Alexandria.

Top 10 peaks for 2θ from 10° to 90°, low angle first:
2θ/deg  intensity
14.49  100
19.71  79
24.02  51
25.53  56
30.80  45
31.04  56
31.97  50
34.21  31
44.50  29
50.02  27

Structural model:
Cell lengths 5.5982, 5.8877, 6.2915 Å; angles 98.73, 99.27, 96.73 degrees
Fractional positions:
Li: 0.0000 0.0000 0.0000
Li: 0.1811 0.2794 0.5757
Li: 0.4582 0.9748 0.7491
Li: 0.7015 0.4651 0.7971
Mn: 0.3008 0.6091 0.1307
Mn: 0.6570 0.2301 0.2768
Mn: 0.8954 0.7612 0.4569
O: 0.2002 0.7113 0.3844
O: 0.6305 0.5615 0.2470
O: 0.8753 0.0143 0.3207
F: 0.1127 0.9880 0.7087
F: 0.2128 0.3005 0.1576
F: 0.3715 0.4934 0.8455
F: 0.3985 0.9114 0.0879
F: 0.4999 0.2040 0.5291
F: 0.6751 0.7860 0.6583
F: 0.7176 0.1947 0.9734
F: 0.9164 0.4541 0.5583
F: 0.9911 0.6485 0.9845

---

[6]
# Li7MnO5F
Computed powder diffractogram, Cu Ka. Input: the PBE+U geometry in Alexandria.

Top 10 peaks for 2θ from 10° to 90°, low angle first:
2θ/deg  intensity
17.83  100
19.30  86
20.02  71
20.13  60
21.95  71
22.27  53
22.88  68
36.58  77
37.71  70
39.04  50

Structural model:
Cell lengths 5.3178, 5.4448, 5.7601 Å; angles 91.26, 115.70, 118.18 degrees
Fractional positions:
Li: 0.0000 0.0000 0.0000
Li: 0.0570 0.3975 0.2840
Li: 0.3486 0.8732 0.5802
Li: 0.4740 0.2884 0.9073
Li: 0.5840 0.4979 0.5607
Li: 0.7926 0.7208 0.2911
Li: 0.8981 0.1270 0.5628
Mn: 0.1617 0.6037 0.9220
O: 0.0388 0.8518 0.7009
O: 0.0694 0.7221 0.1750
O: 0.2953 0.5133 0.6804
O: 0.3496 0.4164 0.1598
O: 0.7429 0.2646 0.7400
F: 0.7033 0.0098 0.1786

---

[7]
# LiMn2OF3
Computed powder diffractogram, Cu Ka. Input: the PBE+U geometry in Alexandria.

Top 10 peaks for 2θ from 10° to 90°, low angle first:
2θ/deg  intensity
16.78  26
17.18  100
32.67  30
33.09  28
33.30  19
40.11  100
44.26  14
52.94  14
57.48  28
58.56  32

Structural model:
Cell lengths 6.4154, 6.4154, 6.4154 Å; angles 58.87, 58.87, 58.87 degrees
Fractional positions:
Li: 0.1480 0.1480 0.1480
Li: 0.8520 0.8520 0.8520
Mn: 0.0000 0.5000 0.5000
Mn: 0.5000 0.0000 0.5000
Mn: 0.5000 0.5000 0.0000
Mn: 0.5000 0.5000 0.5000
O: 0.2749 0.2749 0.2749
O: 0.7251 0.7251 0.7251
F: 0.2475 0.7392 0.7392
F: 0.2608 0.2608 0.7525
F: 0.2608 0.7525 0.2608
F: 0.7392 0.2475 0.7392
F: 0.7392 0.7392 0.2475
F: 0.7525 0.2608 0.2608

---

[8]
# LiMn2O3F
Computed powder diffractogram, Cu Ka. Input: the PBE+U geometry in Alexandria.

Top 10 peaks for 2θ from 10° to 90°, low angle first:
2θ/deg  intensity
17.64  52
17.79  100
18.41  53
34.34  34
34.59  24
34.84  22
41.95  81
42.52  41
60.16  36
62.34  21

Structural model:
Cell lengths 6.1525, 6.1525, 10.2148 Å; angles 106.65, 106.65, 60.01 degrees
Fractional positions:
Li: 0.1839 0.7123 0.5903
Li: 0.2877 0.8161 0.9097
Li: 0.7123 0.1839 0.0903
Li: 0.8161 0.2877 0.4097
Mn: 0.0000 0.5000 0.0000
Mn: 0.2318 0.2702 0.7489
Mn: 0.2702 0.2318 0.2489
Mn: 0.2754 0.7246 0.2500
Mn: 0.5000 0.0000 0.5000
Mn: 0.7246 0.2754 0.7500
Mn: 0.7298 0.7682 0.7511
Mn: 0.7682 0.7298 0.2511
O: 0.0762 0.1822 0.8580
O: 0.0762 0.6142 0.8603
O: 0.1822 0.0762 0.3580
O: 0.3687 0.3808 0.1490
O: 0.3808 0.3687 0.6490
O: 0.3858 0.9238 0.6397
O: 0.6142 0.0762 0.3603
O: 0.6192 0.6313 0.3510
O: 0.6313 0.6192 0.8510
O: 0.8178 0.9238 0.6420
O: 0.9238 0.3858 0.1397
O: 0.9238 0.8178 0.1420
F: 0.1421 0.6149 0.3926
F: 0.3851 0.8579 0.1074
F: 0.6149 0.1421 0.8926
F: 0.8579 0.3851 0.6074

---

[9]
# LiMn3O4F2
Computed powder diffractogram, Cu Ka. Input: the PBE+U geometry in Alexandria.

Top 10 peaks for 2θ from 10° to 90°, low angle first:
2θ/deg  intensity
19.48  100
20.45  21
21.41  66
28.21  63
33.07  22
36.07  34
42.82  36
45.13  20
49.83  18
50.53  19

Structural model:
Cell lengths 5.1920, 5.3003, 5.5263 Å; angles 114.99, 104.23, 105.79 degrees
Fractional positions:
Li: 0.0000 0.0000 0.0000
Mn: 0.0411 0.3409 0.6834
Mn: 0.3304 0.7721 0.3295
Mn: 0.5829 0.2536 0.9157
O: 0.2972 0.1518 0.5451
O: 0.3448 0.3953 0.0941
O: 0.7369 0.0089 0.6551
O: 0.9644 0.6191 0.9986
F: 0.2599 0.7127 0.6917
F: 0.7887 0.1855 0.2227

---

[10]
# LiMn2O2F3
Computed powder diffractogram, Cu Ka. Input: the PBE+U geometry in Alexandria.

Top 10 peaks for 2θ from 10° to 90°, low angle first:
2θ/deg  intensity
17.97  67
23.73  100
25.39  83
32.49  60
40.55  24
44.73  51
45.82  26
51.21  29
59.00  27
65.95  22

Structural model:
Cell lengths 5.3371, 5.3371, 9.9625 Å; angles 90.06, 90.06, 44.62 degrees
Fractional positions:
Li: 0.1397 0.1397 0.0570
Li: 0.8603 0.8603 0.9430
Mn: 0.1434 0.1434 0.4401
Mn: 0.1842 0.1842 0.7483
Mn: 0.8158 0.8158 0.2517
Mn: 0.8566 0.8566 0.5599
O: 0.0503 0.0503 0.6127
O: 0.3066 0.3066 0.5777
O: 0.6934 0.6934 0.4223
O: 0.9497 0.9497 0.3873
F: 0.0453 0.0453 0.8803
F: 0.2421 0.2421 0.2584
F: 0.3059 0.3059 0.9077
F: 0.6941 0.6941 0.0923
F: 0.7579 0.7579 0.7416
F: 0.9547 0.9547 0.1197

---

[11]
# Li3MnO2F
Computed powder diffractogram, Cu Ka. Input: the PBE+U geometry in Alexandria.

Top 10 peaks for 2θ from 10° to 90°, low angle first:
2θ/deg  intensity
13.23  90
20.34  28
26.81  92
27.14  100
28.60  61
36.02  63
38.52  28
39.93  49
45.68  34
51.83  29

Structural model:
Cell lengths 9.0306, 9.9735, 3.5277 Å; angles 90.00, 90.00, 90.00 degrees
Fractional positions:
Li: 0.0946 0.1607 0.0000
Li: 0.1520 0.9309 0.5000
Li: 0.1696 0.3202 0.5000
Li: 0.3304 0.8202 0.0000
Li: 0.3480 0.4309 0.0000
Li: 0.4054 0.6607 0.5000
Li: 0.5946 0.3393 0.5000
Li: 0.6520 0.5691 0.0000
Li: 0.6696 0.1798 0.0000
Li: 0.8304 0.6798 0.5000
Li: 0.8480 0.0691 0.5000
Li: 0.9054 0.8393 0.0000
Mn: 0.1152 0.6015 0.0000
Mn: 0.3848 0.1015 0.5000
Mn: 0.6152 0.8985 0.5000
Mn: 0.8848 0.3985 0.0000
O: 0.1059 0.3836 0.0000
O: 0.1705 0.1234 0.5000
O: 0.3295 0.6234 0.0000
O: 0.3941 0.8836 0.5000
O: 0.6059 0.1164 0.5000
O: 0.6705 0.3766 0.0000
O: 0.8295 0.8766 0.5000
O: 0.8941 0.6164 0.0000
F: 0.1173 0.8556 0.0000
F: 0.3827 0.3556 0.5000
F: 0.6173 0.6444 0.5000
F: 0.8827 0.1444 0.0000